[1]
# NdMg4Au4
Theoretical powder XRD pattern, Cu Kα (λ = 1.5418 Å). Input: the PBE geometry in Alexandria.

Structure:
a b c (Å): 6.940 6.940 8.380
angles (deg): 90.00 90.00 90.00
Sites, in units of the cell vectors:
Nd 0.250 0.750 0.250
Nd 0.750 0.250 0.750
Mg 0.000 0.250 0.132
Mg 0.000 0.750 0.868
Mg 0.250 0.000 0.632
Mg 0.250 0.500 0.632
Mg 0.500 0.250 0.132
Mg 0.500 0.750 0.868
Mg 0.750 0.000 0.368
Mg 0.750 0.500 0.368
Au 0.039 0.250 0.455
Au 0.250 0.039 0.955
Au 0.250 0.461 0.955
Au 0.461 0.250 0.455
Au 0.539 0.750 0.545
Au 0.750 0.539 0.045
Au 0.750 0.961 0.045
Au 0.961 0.750 0.545

Largest 6 diffraction maxima, by intensity, 2θ = 10–90°:
2θ = 27.83°, d 3.206, I = 100; 2θ = 42.70°, d 2.117, I = 41; 2θ = 30.72°, d 2.911, I = 36; 2θ = 21.20°, d 4.190, I = 30; 2θ = 41.50°, d 2.176, I = 28; 2θ = 36.62°, d 2.454, I = 26

***

[2]
# Nd6Mg2Au
Theoretical powder XRD pattern, Cu Kα (λ = 1.5418 Å). Input: the PBE geometry in Alexandria.

Structure:
a b c (Å): 6.536 8.471 11.206
angles (deg): 90.00 112.69 90.00
Sites, in units of the cell vectors:
Nd 0.098 0.050 0.247
Nd 0.098 0.450 0.747
Nd 0.154 0.716 0.041
Nd 0.154 0.784 0.541
Nd 0.376 0.150 0.021
Nd 0.376 0.350 0.521
Nd 0.624 0.650 0.479
Nd 0.624 0.850 0.979
Nd 0.846 0.216 0.459
Nd 0.846 0.284 0.959
Nd 0.902 0.550 0.253
Nd 0.902 0.950 0.753
Mg 0.375 0.092 0.725
Mg 0.375 0.408 0.225
Mg 0.625 0.592 0.775
Mg 0.625 0.908 0.275
Au 0.500 0.000 0.500
Au 0.500 0.500 0.000

Largest 6 diffraction maxima, by intensity, 2θ = 10–90°:
2θ = 34.72°, d 2.583, I = 100; 2θ = 27.63°, d 3.229, I = 67; 2θ = 29.89°, d 2.990, I = 57; 2θ = 17.15°, d 5.169, I = 51; 2θ = 26.70°, d 3.339, I = 49; 2θ = 32.77°, d 2.733, I = 48

***

[3]
# Nd3Mg7Au2
Theoretical powder XRD pattern, Cu Kα (λ = 1.5418 Å). Input: the PBE geometry in Alexandria.

Structure:
a b c (Å): 10.138 10.138 10.138
angles (deg): 34.39 34.39 34.39
Sites, in units of the cell vectors:
Nd 0.000 0.000 0.000
Nd 0.146 0.146 0.146
Nd 0.854 0.854 0.854
Mg 0.075 0.578 0.578
Mg 0.422 0.422 0.925
Mg 0.422 0.925 0.422
Mg 0.500 0.500 0.500
Mg 0.578 0.075 0.578
Mg 0.578 0.578 0.075
Mg 0.925 0.422 0.422
Au 0.334 0.334 0.334
Au 0.666 0.666 0.666

Largest 6 diffraction maxima, by intensity, 2θ = 10–90°:
2θ = 35.38°, d 2.537, I = 100; 2θ = 29.81°, d 2.997, I = 75; 2θ = 18.62°, d 4.764, I = 45; 2θ = 56.59°, d 1.626, I = 26; 2θ = 21.15°, d 4.200, I = 18; 2θ = 41.42°, d 2.180, I = 18

***

[4]
# NdMg11Au
Theoretical powder XRD pattern, Cu Kα (λ = 1.5418 Å). Input: the PBE geometry in Alexandria.

Structure:
a b c (Å): 7.776 7.776 7.689
angles (deg): 97.42 97.42 136.78
Sites, in units of the cell vectors:
Nd 0.000 0.000 0.000
Mg 0.000 0.000 0.500
Mg 0.000 0.500 0.000
Mg 0.011 0.356 0.358
Mg 0.298 0.505 0.783
Mg 0.356 0.011 0.358
Mg 0.495 0.702 0.217
Mg 0.500 0.000 0.000
Mg 0.505 0.298 0.783
Mg 0.644 0.989 0.642
Mg 0.702 0.495 0.217
Mg 0.989 0.644 0.642
Au 0.500 0.500 0.500

Largest 6 diffraction maxima, by intensity, 2θ = 10–90°:
2θ = 12.25°, d 7.228, I = 100; 2θ = 24.69°, d 3.606, I = 88; 2θ = 17.89°, d 4.959, I = 79; 2θ = 35.73°, d 2.513, I = 77; 2θ = 35.18°, d 2.551, I = 53; 2θ = 30.34°, d 2.946, I = 47